Simulated PXRD pattern
Compound: AcPr5
Radiation: Cu Kα
Structure: a PBE-relaxed structure

Structure:
Cell: 5.304 15.968 5.325 Å, 90.00 90.00 90.00°
Fractional coordinates of all 12 atoms:
Ac 0.000 0.000 0.000
Ac 0.500 0.500 0.000
Pr 0.000 0.168 0.500
Pr 0.000 0.330 0.000
Pr 0.000 0.500 0.500
Pr 0.000 0.670 0.000
Pr 0.000 0.832 0.500
Pr 0.500 0.000 0.500
Pr 0.500 0.170 0.000
Pr 0.500 0.332 0.500
Pr 0.500 0.668 0.500
Pr 0.500 0.830 0.000

Largest 10 diffraction maxima, sorted by position, 2θ from 5° to 70°:
| (hkl) | two_theta | intensity |
| --- | --- | --- |
| 0 2 0 | 11.08 | 1 |
| 1 1 0 | 17.62 | 1 |
| 1 1 1 | 24.33 | 1 |
| 1 3 1 | 29.09 | 100 |
| 0 0 2 | 33.67 | 34 |
| 2 0 0 | 33.80 | 17 |
| 2 0 2 | 48.42 | 37 |
| 1 3 3 | 57.43 | 30 |
| 3 3 1 | 57.59 | 15 |
| 2 6 2 | 60.30 | 13 |